K3TaTe4: theoretical powder XRD pattern (a wavelength of 1.5418 Å), based on a DFT-relaxed cell (PBE, Alexandria).

Structure:
Unit cell a=8.0679 b=8.0679 c=8.0679 alpha=121.14 beta=88.64 gamma=120.44
Positions (direct):
K: 0.0000 0.0000 0.0000
K: 0.3663 0.6399 0.7264
K: 0.9135 0.6399 0.2736
Ta: 0.5376 0.0376 0.5000
Te: 0.3465 0.1096 0.7631
Te: 0.3465 0.5833 0.2369
Te: 0.5137 0.2095 0.3043
Te: 0.9052 0.2095 0.6957

Top 6 peaks for 2θ from 10° to 90°, by intensity:
d [Å]  2θ (°)  I_rel
6.568  13.48  100
5.636  15.72  53
2.532  35.45  36
3.468  25.69  32
3.396  26.24  32
3.292  27.09  29



KTaTe4: theoretical powder XRD pattern (a wavelength of 1.5418 Å), based on a DFT-relaxed cell (PBE, Alexandria).

Structure:
Unit cell a=9.1961 b=9.1961 c=6.0567 alpha=93.80 beta=93.80 gamma=56.19
Positions (direct):
K: 0.1848 0.1848 0.2200
K: 0.8152 0.8152 0.7800
Ta: 0.4839 0.4839 0.7312
Ta: 0.5161 0.5161 0.2688
Te: 0.1884 0.5936 0.3933
Te: 0.2316 0.7684 0.0000
Te: 0.3090 0.3090 0.7463
Te: 0.4064 0.8116 0.6067
Te: 0.5936 0.1884 0.3933
Te: 0.6910 0.6910 0.2537
Te: 0.7684 0.2316 0.0000
Te: 0.8116 0.4064 0.6067

Top 6 peaks for 2θ from 10° to 90°, by intensity:
d [Å]  2θ (°)  I_rel
7.636  11.59  100
8.090  10.94  48
3.177  28.09  32
2.477  36.27  27
3.250  27.44  22
2.534  35.42  19



Q: Which formula does entry 1 have?
A: K3TaTe4